Diffraction record for SmCoSb2. The powder X-ray diffraction pattern is theoretical, not measured: it uses the GGA-PBE geometry in OQMD and Cu Kα (weighted mean of Kα1 and Kα2).
Peak positions follow from Bragg's law for the DFT cell and can differ from measured ones.

Atomic structure:
```
SmCoSb2
1.0
4.340 0.000 0.000
0.000 4.340 0.000
0.000 0.000 9.730
Sm Co Sb
2 2 4
Cartesian
1.085 1.085 2.343 Sm
3.255 3.255 7.387 Sm
1.085 3.255 0.000 Co
3.255 1.085 0.000 Co
1.085 1.085 8.394 Sb
1.085 3.255 4.865 Sb
3.255 1.085 4.865 Sb
3.255 3.255 1.336 Sb
```

The 8 most intense peaks (2θ from 10° to 80°), in order of rising 2θ:
- 2θ = 27.52°, rel. 21
- 2θ = 30.55°, rel. 18
- 2θ = 34.55°, rel. 100
- 2θ = 41.62°, rel. 37
- 2θ = 51.46°, rel. 12
- 2θ = 55.15°, rel. 14
- 2θ = 60.32°, rel. 12
- 2θ = 71.41°, rel. 20

Diffraction record for Ta4Co5Sb5. The powder X-ray diffraction pattern is theoretical, not measured: it uses the GGA-PBE geometry in OQMD and Cu Kα (weighted mean of Kα1 and Kα2).
Peak positions follow from Bragg's law for the DFT cell and can differ from measured ones.

Atomic structure:
```
Ta4Co5Sb5
1.0
-4.657 4.657 2.972
4.657 -4.657 2.972
4.657 4.657 -2.972
Ta Co Sb
4 5 5
Cartesian
6.510 0.898 -0.028 Ta
0.898 2.804 0.028 Ta
3.759 1.853 3.000 Ta
-1.853 3.759 2.945 Ta
5.666 2.669 -1.618 Co
4.657 0.000 1.486 Co
-1.010 1.988 1.354 Co
2.669 3.647 1.618 Co
1.988 1.010 4.591 Co
0.000 0.000 0.000 Sb
3.813 2.033 0.035 Sb
2.624 -0.844 2.937 Sb
2.033 5.501 -0.035 Sb
0.844 2.624 3.008 Sb
```

The 8 most intense peaks (2θ from 10° to 80°), in order of rising 2θ:
- 2θ = 26.12°, rel. 22
- 2θ = 30.06°, rel. 26
- 2θ = 30.35°, rel. 52
- 2θ = 43.24°, rel. 100
- 2θ = 43.45°, rel. 47
- 2θ = 53.74°, rel. 21
- 2θ = 79.17°, rel. 15
- 2θ = 79.61°, rel. 28

Diffraction record for Co2SbTe3. The powder X-ray diffraction pattern is theoretical, not measured: it uses the GGA-PBE geometry in OQMD and Cu Kα (weighted mean of Kα1 and Kα2).
Peak positions follow from Bragg's law for the DFT cell and can differ from measured ones.

Atomic structure:
```
Co2SbTe3
1.0
5.294 0.000 0.000
0.000 3.885 0.000
-0.073 0.000 6.246
Co Sb Te
2 1 3
Cartesian
0.000 0.000 0.000 Co
2.604 1.942 3.129 Co
4.047 0.000 2.252 Sb
1.121 0.000 3.963 Te
1.428 1.942 0.880 Te
3.784 1.942 5.374 Te
```

The 8 most intense peaks (2θ from 10° to 80°), in order of rising 2θ:
- 2θ = 31.88°, rel. 100
- 2θ = 32.06°, rel. 96
- 2θ = 33.13°, rel. 74
- 2θ = 33.49°, rel. 71
- 2θ = 43.72°, rel. 53
- 2θ = 44.00°, rel. 53
- 2θ = 46.77°, rel. 50
- 2θ = 49.68°, rel. 61

Repeat the first record exactly.
Diffraction record for SmCoSb2. The powder X-ray diffraction pattern is theoretical, not measured: it uses the GGA-PBE geometry in OQMD and Cu Kα (weighted mean of Kα1 and Kα2).
Peak positions follow from Bragg's law for the DFT cell and can differ from measured ones.

Atomic structure:
```
SmCoSb2
1.0
4.340 0.000 0.000
0.000 4.340 0.000
0.000 0.000 9.730
Sm Co Sb
2 2 4
Cartesian
1.085 1.085 2.343 Sm
3.255 3.255 7.387 Sm
1.085 3.255 0.000 Co
3.255 1.085 0.000 Co
1.085 1.085 8.394 Sb
1.085 3.255 4.865 Sb
3.255 1.085 4.865 Sb
3.255 3.255 1.336 Sb
```

The 8 most intense peaks (2θ from 10° to 80°), in order of rising 2θ:
- 2θ = 27.52°, rel. 21
- 2θ = 30.55°, rel. 18
- 2θ = 34.55°, rel. 100
- 2θ = 41.62°, rel. 37
- 2θ = 51.46°, rel. 12
- 2θ = 55.15°, rel. 14
- 2θ = 60.32°, rel. 12
- 2θ = 71.41°, rel. 20

Q: What is the formula in the third record?
A: Co2SbTe3